Calculated powder XRD pattern
Compound: Mg6VCrO8
Radiation: CuKα
Structure: DFT lattice parameters and positions (GGA+U)
No peak broadening, texture or thermal motion is included.

Top 10 peaks for 2θ = 10–90°, sorted by position:
d [Å]	two_theta	I/Imax
8.467	10.4	26.8
4.234	21.0	6.0
2.896	30.9	8.4
2.491	36.0	32.1
2.179	41.4	100.0
2.117	42.7	45.2
1.541	60.0	28.3
1.518	61.0	53.4
1.310	72.1	11.1
1.246	76.5	24.6

Crystal structure
```
data_Mg6VCrO8
_chemical_formula_sum 'Mg6 V1 Cr1 O8'
_cell_length_a 4.358
_cell_length_b 4.358
_cell_length_c 8.467
_cell_angle_alpha 90.00
_cell_angle_beta 90.00
_cell_angle_gamma 90.00
_symmetry_space_group_name_H-M 'P 4/m m m'
_symmetry_Int_Tables_number 123
_symmetry_space_group_name_Hall '-P 4 2'
loop_
_atom_site_label
_atom_site_type_symbol
_atom_site_fract_x
_atom_site_fract_y
_atom_site_fract_z
Mg1 Mg 0.000 0.000 0.000
Mg2 Mg 0.000 0.500 0.250
Mg3 Mg 0.500 0.500 0.000
V1 V 0.000 0.000 0.500
Cr1 Cr 0.500 0.500 0.500
O1 O 0.000 0.000 0.244
O2 O 0.000 0.500 0.000
O3 O 0.000 0.500 0.500
O4 O 0.500 0.500 0.249
```